Entry 1:
Starting from a structure optimized by DFT (GGA-PBE), the PXRD pattern of Na6In2Hg was simulated for a wavelength of 1.5418 Å.

Crystal structure
abc: 10.9444 10.9444 10.9444
angles: 29.21 29.21 29.21
Element x y z (fractional)
Na (0.0780, 0.0780, 0.0780)
Na (0.1988, 0.1988, 0.1988)
Na (0.3077, 0.3077, 0.3077)
Na (0.6923, 0.6923, 0.6923)
Na (0.8012, 0.8012, 0.8012)
Na (0.9220, 0.9220, 0.9220)
In (0.4103, 0.4103, 0.4103)
In (0.5897, 0.5897, 0.5897)
Hg (0.5000, 0.5000, 0.5000)

The 10 most intense peaks (10° ≤ 2θ ≤ 90°), most intense first:
- d = 4.726 Å, 18.78°, I 1000
- d = 2.760 Å, 32.44°, I 707
- d = 4.573 Å, 19.41°, I 456
- d = 2.625 Å, 34.16°, I 435
- d = 1.900 Å, 47.86°, I 389
- d = 2.451 Å, 36.66°, I 266
- d = 2.383 Å, 37.74°, I 177
- d = 1.566 Å, 58.97°, I 174
- d = 2.165 Å, 41.72°, I 165
- d = 1.804 Å, 50.60°, I 152


Entry 2:
Starting from a structure optimized by DFT (GGA-PBE), the PXRD pattern of NaIn6Hg was simulated for a wavelength of 1.5418 Å.

Crystal structure
abc: 6.6292 6.6292 4.7990
angles: 90.00 90.00 90.00
Element x y z (fractional)
Na (0.0000, 0.0000, 0.0000)
In (0.0000, 0.5000, 0.0000)
In (0.2493, 0.2493, 0.5000)
In (0.2493, 0.7507, 0.5000)
In (0.5000, 0.0000, 0.0000)
In (0.7507, 0.2493, 0.5000)
In (0.7507, 0.7507, 0.5000)
Hg (0.5000, 0.5000, 0.0000)

The 10 most intense peaks (10° ≤ 2θ ≤ 90°), most intense first:
- d = 2.727 Å, 32.84°, I 1000
- d = 2.344 Å, 38.41°, I 326
- d = 1.416 Å, 65.96°, I 256
- d = 1.677 Å, 54.75°, I 227
- d = 2.400 Å, 37.48°, I 174
- d = 6.629 Å, 13.36°, I 140
- d = 1.441 Å, 64.70°, I 136
- d = 1.364 Å, 68.85°, I 112
- d = 1.657 Å, 55.44°, I 109
- d = 3.887 Å, 22.88°, I 89